[1]
For Tb12Os5C15, a crystal structure in the Materials Project, relaxed with GGA-PBE gives the simulated XRD peak list in this record (a wavelength of 1.5418 Å).
Peak positions follow from Bragg's law for the DFT cell and can differ from measured ones.

Crystal structure
Cell: 10.750 10.750 5.116 Å, 90.00 90.00 120.00°
Positions (direct):
1 Tb 0.000 0.434 0.000
2 Tb 0.000 0.794 0.000
3 Tb 0.183 0.728 0.500
4 Tb 0.206 0.206 0.000
5 Tb 0.272 0.456 0.500
6 Tb 0.434 0.000 0.000
7 Tb 0.456 0.272 0.500
8 Tb 0.544 0.817 0.500
9 Tb 0.566 0.566 0.000
10 Tb 0.728 0.183 0.500
11 Tb 0.794 0.000 0.000
12 Tb 0.817 0.544 0.500
13 Os 0.000 0.161 0.500
14 Os 0.161 0.000 0.500
15 Os 0.333 0.667 0.000
16 Os 0.667 0.333 0.000
17 Os 0.839 0.839 0.500
18 C 0.000 0.336 0.500
19 C 0.000 0.460 0.500
20 C 0.000 0.793 0.500
21 C 0.186 0.717 0.000
22 C 0.207 0.207 0.500
23 C 0.283 0.468 0.000
24 C 0.336 0.000 0.500
25 C 0.460 0.000 0.500
26 C 0.468 0.283 0.000
27 C 0.532 0.814 0.000
28 C 0.540 0.540 0.500
29 C 0.664 0.664 0.500
30 C 0.717 0.186 0.000
31 C 0.793 0.000 0.500
32 C 0.814 0.532 0.000

Peak list (10 most intense, 10 to 80 degrees two-theta, sorted by position)
2θ 30.84, I = 100; 2θ 33.78, I = 21; 2θ 34.74, I = 39; 2θ 35.08, I = 37; 2θ 37.81, I = 17; 2θ 39.07, I = 10; 2θ 50.20, I = 28; 2θ 58.00, I = 15; 2θ 60.31, I = 15; 2θ 63.41, I = 11



[2]
For Tm12Os5C15, a crystal structure in the Materials Project, relaxed with GGA-PBE gives the simulated XRD peak list in this record (a wavelength of 1.5418 Å).
Peak positions follow from Bragg's law for the DFT cell and can differ from measured ones.

Crystal structure
Cell: 10.604 10.604 4.987 Å, 90.00 90.00 120.00°
Positions (direct):
1 Tm 0.000 0.438 0.000
2 Tm 0.000 0.794 0.000
3 Tm 0.184 0.728 0.500
4 Tm 0.206 0.206 0.000
5 Tm 0.272 0.456 0.500
6 Tm 0.438 0.000 0.000
7 Tm 0.456 0.272 0.500
8 Tm 0.544 0.816 0.500
9 Tm 0.562 0.562 0.000
10 Tm 0.728 0.184 0.500
11 Tm 0.794 0.000 0.000
12 Tm 0.816 0.544 0.500
13 Os 0.000 0.162 0.500
14 Os 0.162 0.000 0.500
15 Os 0.333 0.667 0.000
16 Os 0.667 0.333 0.000
17 Os 0.838 0.838 0.500
18 C 0.000 0.339 0.500
19 C 0.000 0.465 0.500
20 C 0.000 0.789 0.500
21 C 0.184 0.718 0.000
22 C 0.211 0.211 0.500
23 C 0.282 0.466 0.000
24 C 0.339 0.000 0.500
25 C 0.465 0.000 0.500
26 C 0.466 0.282 0.000
27 C 0.534 0.816 0.000
28 C 0.535 0.535 0.500
29 C 0.661 0.661 0.500
30 C 0.718 0.184 0.000
31 C 0.789 0.000 0.500
32 C 0.816 0.534 0.000

Peak list (10 most intense, 10 to 80 degrees two-theta, sorted by position)
2θ 31.40, I = 100; 2θ 34.37, I = 19; 2θ 35.24, I = 38; 2θ 36.02, I = 35; 2θ 38.46, I = 17; 2θ 39.74, I = 8; 2θ 45.25, I = 8; 2θ 51.27, I = 26; 2θ 58.98, I = 9; 2θ 61.88, I = 15



[3]
For U2OsC2, a crystal structure in the Materials Project, relaxed with GGA-PBE gives the simulated XRD peak list in this record (a wavelength of 1.5418 Å).
Peak positions follow from Bragg's law for the DFT cell and can differ from measured ones.

Crystal structure
Cell: 6.712 6.712 6.712 Å, 150.22 150.22 42.62°
Positions (direct):
1 U 0.146 0.146 0.000
2 U 0.854 0.854 0.000
3 Os 0.500 0.500 0.000
4 C 0.329 0.329 0.000
5 C 0.671 0.671 0.000

Peak list (10 most intense, 10 to 80 degrees two-theta, sorted by position)
2θ 33.72, I = 100; 2θ 36.85, I = 51; 2θ 43.41, I = 10; 2θ 44.75, I = 9; 2θ 53.10, I = 18; 2θ 58.21, I = 22; 2θ 64.39, I = 33; 2θ 70.92, I = 10; 2θ 71.71, I = 6; 2θ 78.41, I = 6



[4]
For Os3W3C2, a crystal structure in the Materials Project, relaxed with GGA-PBE gives the simulated XRD peak list in this record (a wavelength of 1.5418 Å).
Peak positions follow from Bragg's law for the DFT cell and can differ from measured ones.

Crystal structure
Cell: 2.849 2.849 14.872 Å, 90.00 90.00 120.00°
Positions (direct):
1 Os 0.000 0.000 0.000
2 Os 0.333 0.667 0.810
3 Os 0.667 0.333 0.190
4 W 0.000 0.000 0.500
5 W 0.333 0.667 0.338
6 W 0.667 0.333 0.662
7 C 0.333 0.667 0.100
8 C 0.667 0.333 0.900

Peak list (10 most intense, 10 to 80 degrees two-theta, sorted by position)
2θ 36.24, I = 31; 2θ 38.44, I = 100; 2θ 40.85, I = 5; 2θ 44.04, I = 67; 2θ 62.56, I = 19; 2θ 65.52, I = 23; 2θ 68.32, I = 5; 2θ 74.49, I = 7; 2θ 77.23, I = 21; 2θ 78.60, I = 13



[5]
For Zr4Os2C, a crystal structure in the Materials Project, relaxed with GGA-PBE gives the simulated XRD peak list in this record (a wavelength of 1.5418 Å).
Peak positions follow from Bragg's law for the DFT cell and can differ from measured ones.

Crystal structure
Cell: 8.856 8.856 8.856 Å, 60.00 60.00 60.00°
Positions (direct):
1 Zr 0.000 0.000 0.000
2 Zr 0.000 0.000 0.500
3 Zr 0.000 0.500 0.000
4 Zr 0.188 0.188 0.562
5 Zr 0.188 0.562 0.188
6 Zr 0.188 0.562 0.562
7 Zr 0.438 0.438 0.812
8 Zr 0.438 0.812 0.438
9 Zr 0.438 0.812 0.812
10 Zr 0.500 0.000 0.000
11 Zr 0.562 0.188 0.188
12 Zr 0.562 0.188 0.562
13 Zr 0.562 0.562 0.188
14 Zr 0.812 0.438 0.438
15 Zr 0.812 0.438 0.812
16 Zr 0.812 0.812 0.438
17 Os 0.128 0.791 0.791
18 Os 0.209 0.209 0.209
19 Os 0.209 0.209 0.872
20 Os 0.209 0.872 0.209
21 Os 0.791 0.128 0.791
22 Os 0.791 0.791 0.128
23 Os 0.791 0.791 0.791
24 Os 0.872 0.209 0.209
25 C 0.000 0.500 0.500
26 C 0.500 0.000 0.500
27 C 0.500 0.500 0.000
28 C 0.500 0.500 0.500

Peak list (10 most intense, 10 to 80 degrees two-theta, sorted by position)
2θ 12.24, I = 25; 2θ 24.62, I = 10; 2θ 35.10, I = 21; 2θ 37.31, I = 100; 2θ 40.76, I = 19; 2θ 43.35, I = 20; 2θ 52.16, I = 8; 2θ 62.97, I = 29; 2θ 68.69, I = 11; 2θ 75.54, I = 21



[6]
For V18P9C2, a crystal structure in the Materials Project, relaxed with GGA-PBE gives the simulated XRD peak list in this record (a wavelength of 1.5418 Å).
Peak positions follow from Bragg's law for the DFT cell and can differ from measured ones.

Crystal structure
Cell: 17.074 3.191 13.059 Å, 90.00 90.00 90.00°
Positions (direct):
1 V 0.000 0.000 0.000
2 V 0.000 0.500 0.500
3 V 0.001 0.000 0.339
4 V 0.058 0.500 0.154
5 V 0.122 0.500 0.928
6 V 0.133 0.000 0.497
7 V 0.162 0.000 0.741
8 V 0.170 0.000 0.255
9 V 0.250 0.000 0.938
10 V 0.250 0.500 0.100
11 V 0.250 0.500 0.402
12 V 0.250 0.500 0.606
13 V 0.330 0.000 0.255
14 V 0.338 0.000 0.741
15 V 0.367 0.000 0.497
16 V 0.378 0.500 0.928
17 V 0.442 0.500 0.154
18 V 0.499 0.000 0.339
19 V 0.500 0.000 0.000
20 V 0.500 0.500 0.500
21 V 0.501 0.000 0.661
22 V 0.558 0.500 0.846
23 V 0.622 0.500 0.072
24 V 0.633 0.000 0.503
25 V 0.662 0.000 0.259
26 V 0.670 0.000 0.745
27 V 0.750 0.000 0.062
28 V 0.750 0.500 0.394
29 V 0.750 0.500 0.598
30 V 0.750 0.500 0.900
31 V 0.830 0.000 0.745
32 V 0.838 0.000 0.259
33 V 0.867 0.000 0.503
34 V 0.878 0.500 0.072
35 V 0.942 0.500 0.846
36 V 0.999 0.000 0.661
37 P 0.046 0.000 0.829
38 P 0.101 0.500 0.361
39 P 0.104 0.500 0.629
40 P 0.142 0.000 0.067
41 P 0.250 0.500 0.808
42 P 0.358 0.000 0.067
43 P 0.396 0.500 0.629
44 P 0.399 0.500 0.361
45 P 0.454 0.000 0.829
46 P 0.546 0.000 0.171
47 P 0.601 0.500 0.639
48 P 0.604 0.500 0.371
49 P 0.642 0.000 0.933
50 P 0.750 0.500 0.192
51 P 0.858 0.000 0.933
52 P 0.896 0.500 0.371
53 P 0.899 0.500 0.639
54 P 0.954 0.000 0.171
55 C 0.250 0.000 0.504
56 C 0.250 0.500 0.250
57 C 0.750 0.000 0.496
58 C 0.750 0.500 0.750

Peak list (10 most intense, 10 to 80 degrees two-theta, sorted by position)
2θ 39.49, I = 88; 2θ 40.94, I = 100; 2θ 41.11, I = 47; 2θ 42.13, I = 60; 2θ 42.35, I = 30; 2θ 42.56, I = 99; 2θ 42.69, I = 37; 2θ 42.88, I = 73; 2θ 44.67, I = 38; 2θ 57.78, I = 62



[7]
For V3PC, a crystal structure in the Materials Project, relaxed with GGA-PBE gives the simulated XRD peak list in this record (a wavelength of 1.5418 Å).
Peak positions follow from Bragg's law for the DFT cell and can differ from measured ones.

Crystal structure
Cell: 5.099 5.099 7.548 Å, 90.00 90.00 144.48°
Positions (direct):
1 V 0.064 0.936 0.750
2 V 0.366 0.634 0.555
3 V 0.366 0.634 0.945
4 V 0.634 0.366 0.055
5 V 0.634 0.366 0.445
6 V 0.936 0.064 0.250
7 P 0.252 0.748 0.250
8 P 0.748 0.252 0.750
9 C 0.000 0.000 0.000
10 C 0.000 0.000 0.500

Peak list (10 most intense, 10 to 80 degrees two-theta, sorted by position)
2θ 38.64, I = 100; 2θ 40.21, I = 73; 2θ 40.37, I = 87; 2θ 42.03, I = 95; 2θ 44.37, I = 38; 2θ 47.14, I = 21; 2θ 47.41, I = 39; 2θ 59.43, I = 30; 2θ 74.32, I = 24; 2θ 75.99, I = 28



[8]
For PaC2, a crystal structure in the Materials Project, relaxed with GGA-PBE gives the simulated XRD peak list in this record (a wavelength of 1.5418 Å).
Peak positions follow from Bragg's law for the DFT cell and can differ from measured ones.

Crystal structure
Cell: 3.986 3.986 3.986 Å, 126.00 126.00 79.88°
Positions (direct):
1 Pa 0.000 0.000 0.000
2 C 0.388 0.388 0.000
3 C 0.612 0.612 0.000

Peak list (10 most intense, 10 to 80 degrees two-theta, sorted by position)
2θ 28.66, I = 100; 2θ 29.22, I = 29; 2θ 35.06, I = 42; 2θ 46.27, I = 34; 2θ 50.43, I = 15; 2θ 51.47, I = 26; 2θ 59.03, I = 29; 2θ 59.35, I = 16; 2θ 71.97, I = 8; 2θ 74.93, I = 17



[9]
For PbC, a crystal structure in the Materials Project, relaxed with GGA-PBE gives the simulated XRD peak list in this record (a wavelength of 1.5418 Å).
Peak positions follow from Bragg's law for the DFT cell and can differ from measured ones.

Crystal structure
Cell: 3.774 3.774 6.176 Å, 90.00 90.00 120.00°
Positions (direct):
1 Pb 0.333 0.667 0.000
2 Pb 0.667 0.333 0.500
3 C 0.333 0.667 0.624
4 C 0.667 0.333 0.124

Peak list (10 most intense, 10 to 80 degrees two-theta, sorted by position)
2θ 27.29, I = 28; 2θ 28.91, I = 29; 2θ 30.96, I = 100; 2θ 40.17, I = 18; 2θ 48.23, I = 24; 2θ 52.53, I = 27; 2θ 57.21, I = 26; 2θ 58.42, I = 18; 2θ 74.07, I = 10; 2θ 79.05, I = 15



[10]
For Pd3PbC, a crystal structure in the Materials Project, relaxed with GGA-PBE gives the simulated XRD peak list in this record (a wavelength of 1.5418 Å).
Peak positions follow from Bragg's law for the DFT cell and can differ from measured ones.

Crystal structure
Cell: 4.299 4.299 4.299 Å, 90.00 90.00 90.00°
Positions (direct):
1 Pd 0.000 0.000 0.500
2 Pd 0.000 0.500 0.000
3 Pd 0.500 0.000 0.000
4 Pb 0.500 0.500 0.500
5 C 0.000 0.000 0.000

Peak list (10 most intense, 10 to 80 degrees two-theta, sorted by position)
2θ 20.66, I = 7; 2θ 29.38, I = 11; 2θ 36.19, I = 100; 2θ 42.04, I = 53; 2θ 47.28, I = 4; 2θ 52.11, I = 5; 2θ 60.96, I = 35; 2θ 65.09, I = 2; 2θ 72.99, I = 39; 2θ 76.81, I = 12



[11]
For Pr3PbC, a crystal structure in the Materials Project, relaxed with GGA-PBE gives the simulated XRD peak list in this record (a wavelength of 1.5418 Å).
Peak positions follow from Bragg's law for the DFT cell and can differ from measured ones.

Crystal structure
Cell: 5.930 5.930 5.930 Å, 90.00 90.00 90.00°
Positions (direct):
1 Pr 0.000 0.000 0.500
2 Pr 0.000 0.500 0.000
3 Pr 0.500 0.000 0.000
4 Pb 0.000 0.000 0.000
5 C 0.500 0.500 0.500

Peak list (10 most intense, 10 to 80 degrees two-theta, sorted by position)
2θ 14.94, I = 100; 2θ 26.03, I = 19; 2θ 30.14, I = 71; 2θ 33.80, I = 58; 2θ 43.15, I = 54; 2θ 45.91, I = 31; 2θ 53.53, I = 19; 2θ 64.83, I = 18; 2θ 71.10, I = 24; 2θ 79.12, I = 18



[12]
For Pt3PbC, a crystal structure in the Materials Project, relaxed with GGA-PBE gives the simulated XRD peak list in this record (a wavelength of 1.5418 Å).
Peak positions follow from Bragg's law for the DFT cell and can differ from measured ones.

Crystal structure
Cell: 4.348 4.348 4.348 Å, 90.00 90.00 90.00°
Positions (direct):
1 Pt 0.000 0.000 0.500
2 Pt 0.000 0.500 0.000
3 Pt 0.500 0.000 0.000
4 Pb 0.500 0.500 0.500
5 C 0.000 0.000 0.000

Peak list (5 most intense, 10 to 80 degrees two-theta, sorted by position)
2θ 35.77, I = 100; 2θ 41.54, I = 53; 2θ 60.20, I = 36; 2θ 72.04, I = 41; 2θ 75.79, I = 12